# Ca3CuGe4
Calculated PXRD pattern, copper Kα. Input: DFT lattice parameters and positions (PBE).
Kinematic intensities with the Lorentz-polarization factor, no thermal factor.

Top 8 peaks for 10° ≤ 2θ ≤ 80°, low angle first:
2θ (°)  d [Å]  intensity
20.25  4.385  100
27.74  3.216  61
34.24  2.619  50
38.61  2.332  33
39.53  2.280  44
39.74  2.268  66
41.90  2.156  43
57.30  1.608  43

Atomic structure:
```
Ca3CuGe4
1.0
4.560 0.000 0.000
0.000 5.508 0.000
0.000 0.000 15.996
Ca Cu Ge
6 2 8
Direct
0.000 0.000 0.000
0.000 0.500 0.206
0.000 0.500 0.794
0.500 0.000 0.294
0.500 0.000 0.706
0.500 0.500 0.500
0.000 0.000 0.500
0.500 0.500 0.000
0.000 0.270 0.382
0.000 0.270 0.618
0.000 0.730 0.382
0.000 0.730 0.618
0.500 0.230 0.118
0.500 0.230 0.882
0.500 0.770 0.118
0.500 0.770 0.882
```